Theoretical X-ray powder pattern of Co2P2H for Cu Kα (weighted mean of Kα1 and Kα2), from a structure optimized by DFT (GGA-PBE).

Main lines, in order of rising 2θ (15 to 90 degrees two-theta):
2θ/deg, d_spacing, I (rel.)
30.8, 2.903, 22
31.0, 2.888, 20
31.4, 2.852, 100
41.3, 2.188, 53
50.7, 1.801, 36
50.8, 1.796, 36
52.7, 1.737, 21
52.8, 1.734, 22
60.3, 1.534, 16
75.7, 1.256, 16

Atomic structure:
abc: 4.1565 4.1565 4.3754
angles: 90.27 90.27 43.32
Atoms (fractional coordinates):
Co 0.0000 0.0000 0.0000
Co 0.1933 0.1933 0.4981
P 0.2949 0.2949 0.0006
P 0.9070 0.9070 0.5053
H 0.6281 0.6281 0.4422